Li3Fe5OF11: computed PXRD pattern (λ = 1.5418 Å (Cu Kα)), based on a crystal structure in Alexandria, relaxed with GGA+U.
Lines closer than 0.1° are merged.

Structural model:
abc: 5.8409 5.9124 8.9380
angles: 83.57 82.42 62.89
Sites, in units of the cell vectors:
Li 0.0000 0.0000 0.0000
Li 0.0907 0.1578 0.4369
Li 0.4568 0.3797 0.4647
Fe 0.4882 0.0146 0.0565
Fe 0.5044 0.5427 0.8621
Fe 0.5972 0.0516 0.7280
Fe 0.7801 0.7600 0.4631
Fe 0.9416 0.5250 0.1807
O 0.6706 0.1627 0.9141
F 0.1369 0.1239 0.1761
F 0.1391 0.4978 0.3785
F 0.1581 0.6206 0.0225
F 0.3051 0.9615 0.8694
F 0.4000 0.4419 0.6714
F 0.4210 0.0441 0.5152
F 0.6421 0.6203 0.0519
F 0.7145 0.4756 0.3719
F 0.7301 0.9209 0.2337
F 0.7408 0.6631 0.7002
F 0.8895 0.0105 0.5426

Largest 8 diffraction maxima, most intense first, 15 to 90 degrees two-theta:
d (Å)	intensity	h k l
4.657	100	1 0 1
5.177	63	1 0 0
4.962	58	1 1 0
4.085	44	1 1 -1
2.627	35	0 2 0
1.882	26	2 1 4
4.300	22	1 0 -1
2.711	21	1 1 3